Entry 1:
U2Nb3Si4: computed powder XRD pattern (Cu Kα (λ = 1.5418 Å)), based on a structure optimized by DFT (PBE).
Kinematic intensities with the Lorentz-polarization factor, no thermal factor.

Principal peaks in the range 2θ = 5–70°, by angle:
d_spacing  intensity  index
4.652  34  1 1 1
3.096  31  2 0 2
3.063  40  2 1 1
2.835  43  2 1 2
2.719  30  1 1 4
2.547  100  2 1 3
2.447  74  2 2 1
2.302  76  1 1 5
2.209  92  3 0 2
1.552  38  3 1 6

Lattice parameters (Å, degrees): 7.047 7.047 12.975 90.00 90.00 90.00
Space group P4_12_12 (No. 92)
One atom of each set of equivalent atoms:
U (0.005, 0.332, 0.031) (multiplicity 8)
Nb (0.001, 0.156, 0.625) (multiplicity 8)
Nb (0.169, 0.831, 0.750) (multiplicity 4)
Si (0.040, 0.703, 0.935) (multiplicity 8)
Si (0.129, 0.207, 0.816) (multiplicity 8)


Entry 2:
KSeI3: computed powder XRD pattern (Cu Kα (λ = 1.5418 Å)), based on a structure optimized by DFT (PBE).
Kinematic intensities with the Lorentz-polarization factor, no thermal factor.

Principal peaks in the range 2θ = 5–70°, by angle:
d_spacing  intensity  index
6.597  38  1 1 0
5.136  23  1 1 1
4.028  46  1 2 0
3.699  59  1 1 2
3.665  42  2 1 -2
3.291  100  2 2 -1
3.106  52  3 1 0
2.558  43  1 0 -4
2.446  20  1 2 3
2.140  20  3 3 -2

Lattice parameters (Å, degrees): 10.254 8.807 10.234 90.00 103.78 90.00
Space group P2_1/c (No. 14)
One atom of each set of equivalent atoms:
K (0.228, 0.075, 0.193) (multiplicity 4)
Se (0.206, 0.620, 0.178) (multiplicity 4)
I (0.044, 0.206, 0.873) (multiplicity 4)
I (0.254, 0.749, 0.946) (multiplicity 4)
I (0.423, 0.072, 0.731) (multiplicity 4)


Q: What is the formula in the second record?
A: KSeI3